(1)
This entry pairs a crystal structure of Ba2CoSi with its simulated powder X-ray diffraction pattern. Radiation: λ = 1.5418 Å (Cu Kα). Structure: DFT lattice parameters and positions (GGA-PBE).
Neutral-atom scattering factors, no anomalous dispersion.

Atomic structure:
Unit cell a=7.457 b=7.457 c=7.457 alpha=90.00 beta=90.00 gamma=90.00
Space group F-43m (No. 216)
Inequivalent atoms, fractional coordinates:
Ba  0.000  0.000  0.000 x4
Ba  0.250  0.250  0.250 x4
Co  0.250  0.250  0.750 x4
Si  0.000  0.000  0.500 x4

Most intense lines, 10° ≤ 2θ ≤ 80°, by angle:
2θ 20.63, d 4.305, rel. 27.8, (1 1 1)
2θ 34.01, d 2.636, rel. 100.0, (2 2 0)
2θ 40.11, d 2.248, rel. 15.5, (3 1 1)
2θ 48.86, d 1.864, rel. 17.5, (4 0 0)
2θ 53.57, d 1.711, rel. 6.8, (3 3 1)
2θ 60.86, d 1.522, rel. 36.0, (4 2 2)
2θ 64.99, d 1.435, rel. 5.2, (5 1 1)
2θ 71.58, d 1.318, rel. 11.1, (4 4 0)

***

(2)
This entry pairs a crystal structure of CsBa2Zr2F11 with its simulated powder X-ray diffraction pattern. Radiation: λ = 1.5418 Å (Cu Kα). Structure: DFT lattice parameters and positions (GGA-PBE).
Neutral-atom scattering factors, no anomalous dispersion.

Atomic structure:
Unit cell a=5.844 b=5.844 c=16.182 alpha=90.00 beta=90.00 gamma=90.00
Space group I4/mmm (No. 139)
Inequivalent atoms, fractional coordinates:
Cs  0.000  0.000  0.000 x2
Ba  0.000  0.500  0.250 x4
Zr  0.000  0.000  0.376 x4
F  0.000  0.000  0.245 x4
F  0.000  0.000  0.500 x2
F  0.248  0.248  0.135 x16

Most intense lines, 10° ≤ 2θ ≤ 80°, by angle:
2θ 10.94, d 8.091, rel. 33.9, (0 0 2)
2θ 22.43, d 3.964, rel. 47.6, (1 0 3)
2θ 24.18, d 3.680, rel. 100.0, (1 1 2)
2θ 30.60, d 2.922, rel. 45.0, (2 0 0)
2θ 37.99, d 2.369, rel. 37.6, (2 0 4)
2θ 39.92, d 2.259, rel. 25.9, (1 1 6)
2θ 43.82, d 2.066, rel. 44.6, (2 2 0)
2θ 50.67, d 1.802, rel. 26.7, (3 1 2)

***

(3)
This entry pairs a crystal structure of CsBaHg4 with its simulated powder X-ray diffraction pattern. Radiation: λ = 1.5418 Å (Cu Kα). Structure: DFT lattice parameters and positions (GGA-PBE).
Neutral-atom scattering factors, no anomalous dispersion.

Atomic structure:
Unit cell a=5.474 b=8.576 c=9.059 alpha=90.00 beta=90.00 gamma=90.00
Space group Imm2 (No. 44)
Inequivalent atoms, fractional coordinates:
Cs  0.000  0.000  0.000 x2
Ba  0.000  0.500  0.910 x2
Hg  0.000  0.186  0.611 x4
Hg  0.000  0.304  0.280 x4

Most intense lines, 10° ≤ 2θ ≤ 80°, by angle:
2θ 27.60, d 3.232, rel. 54.3, (1 1 2)
2θ 28.21, d 3.163, rel. 100.0, (1 2 1)
2θ 28.67, d 3.114, rel. 41.1, (0 2 2)
2θ 32.72, d 2.737, rel. 63.8, (2 0 0)
2θ 32.85, d 2.726, rel. 53.1, (0 3 1)
2θ 33.90, d 2.644, rel. 97.1, (1 0 3)
2θ 47.05, d 1.932, rel. 39.6, (2 3 1)
2θ 54.33, d 1.689, rel. 41.0, (1 3 4)

***

(4)
This entry pairs a crystal structure of CsBa2Nb3O10 with its simulated powder X-ray diffraction pattern. Radiation: λ = 1.5418 Å (Cu Kα). Structure: DFT lattice parameters and positions (GGA-PBE).
Neutral-atom scattering factors, no anomalous dispersion.

Atomic structure:
Unit cell a=4.000 b=4.000 c=15.578 alpha=90.00 beta=90.00 gamma=90.00
Space group P4/mmm (No. 123)
Inequivalent atoms, fractional coordinates:
Cs  0.000  0.000  0.000 x1
Ba  0.000  0.000  0.356 x2
Nb  0.500  0.500  0.209 x2
Nb  0.500  0.500  0.500 x1
O  0.000  0.500  0.234 x4
O  0.000  0.500  0.500 x2
O  0.500  0.500  0.094 x2
O  0.500  0.500  0.373 x2

Most intense lines, 10° ≤ 2θ ≤ 80°, by angle:
2θ 28.16, d 3.169, rel. 100.0, (1 0 3)
2θ 31.63, d 2.828, rel. 45.3, (1 1 0)
2θ 32.08, d 2.790, rel. 12.2, (1 0 4)
2θ 45.35, d 2.000, rel. 27.3, (2 0 0)
2θ 47.54, d 1.913, rel. 10.6, (1 1 6)
2θ 52.29, d 1.750, rel. 10.8, (1 1 7)
2θ 54.24, d 1.691, rel. 31.5, (2 1 3)
2θ 75.08, d 1.265, rel. 9.4, (3 1 0)

***

(5)
This entry pairs a crystal structure of CsBaSmTe3 with its simulated powder X-ray diffraction pattern. Radiation: λ = 1.5418 Å (Cu Kα). Structure: DFT lattice parameters and positions (GGA-PBE).
Neutral-atom scattering factors, no anomalous dispersion.

Atomic structure:
Unit cell a=4.745 b=21.267 c=13.465 alpha=90.00 beta=90.00 gamma=90.00
Space group Cmcm (No. 63)
Inequivalent atoms, fractional coordinates:
Cs  0.000  0.156  0.250 x4
Ba  0.000  0.090  0.750 x4
Sm  0.000  0.500  0.000 x4
Te  0.000  0.100  0.506 x8
Te  0.000  0.483  0.750 x4

Most intense lines, 10° ≤ 2θ ≤ 80°, by angle:
2θ 22.55, d 3.943, rel. 100.0, (1 3 0)
2θ 26.48, d 3.366, rel. 85.4, (0 0 4)
2θ 27.80, d 3.209, rel. 30.6, (0 2 4)
2θ 28.17, d 3.167, rel. 87.3, (1 5 0)
2θ 35.05, d 2.560, rel. 75.3, (1 3 4)
2θ 37.92, d 2.373, rel. 33.0, (2 0 0)
2θ 39.05, d 2.307, rel. 71.9, (1 5 4)
2θ 46.85, d 1.939, rel. 35.8, (2 0 4)

***

(6)
This entry pairs a crystal structure of BaCu13 with its simulated powder X-ray diffraction pattern. Radiation: λ = 1.5418 Å (Cu Kα). Structure: DFT lattice parameters and positions (GGA-PBE).
Neutral-atom scattering factors, no anomalous dispersion.

Atomic structure:
Unit cell a=11.685 b=11.685 c=11.685 alpha=90.00 beta=90.00 gamma=90.00
Space group Fm-3c (No. 226)
Inequivalent atoms, fractional coordinates:
Ba  0.250  0.250  0.250 x8
Cu  0.000  0.000  0.000 x8
Cu  0.000  0.115  0.179 x96

Most intense lines, 10° ≤ 2θ ≤ 80°, by angle:
2θ 34.32, d 2.613, rel. 36.4, (4 2 0)
2θ 37.71, d 2.385, rel. 71.2, (4 2 2)
2θ 45.95, d 1.975, rel. 100.0, (5 3 1)
2θ 46.64, d 1.948, rel. 18.4, (6 0 0)
2θ 49.32, d 1.848, rel. 17.2, (6 2 0)
2θ 56.82, d 1.620, rel. 12.1, (6 4 0)
2θ 59.17, d 1.561, rel. 15.0, (6 4 2)
2θ 65.92, d 1.417, rel. 11.6, (8 2 0)

***

Please write out number 4 again, unchanged.
This entry pairs a crystal structure of CsBa2Nb3O10 with its simulated powder X-ray diffraction pattern. Radiation: λ = 1.5418 Å (Cu Kα). Structure: DFT lattice parameters and positions (GGA-PBE).
Neutral-atom scattering factors, no anomalous dispersion.

Atomic structure:
Unit cell a=4.000 b=4.000 c=15.578 alpha=90.00 beta=90.00 gamma=90.00
Space group P4/mmm (No. 123)
Inequivalent atoms, fractional coordinates:
Cs  0.000  0.000  0.000 x1
Ba  0.000  0.000  0.356 x2
Nb  0.500  0.500  0.209 x2
Nb  0.500  0.500  0.500 x1
O  0.000  0.500  0.234 x4
O  0.000  0.500  0.500 x2
O  0.500  0.500  0.094 x2
O  0.500  0.500  0.373 x2

Most intense lines, 10° ≤ 2θ ≤ 80°, by angle:
2θ 28.16, d 3.169, rel. 100.0, (1 0 3)
2θ 31.63, d 2.828, rel. 45.3, (1 1 0)
2θ 32.08, d 2.790, rel. 12.2, (1 0 4)
2θ 45.35, d 2.000, rel. 27.3, (2 0 0)
2θ 47.54, d 1.913, rel. 10.6, (1 1 6)
2θ 52.29, d 1.750, rel. 10.8, (1 1 7)
2θ 54.24, d 1.691, rel. 31.5, (2 1 3)
2θ 75.08, d 1.265, rel. 9.4, (3 1 0)

***

Please write out number 3 again, unchanged.
This entry pairs a crystal structure of CsBaHg4 with its simulated powder X-ray diffraction pattern. Radiation: λ = 1.5418 Å (Cu Kα). Structure: DFT lattice parameters and positions (GGA-PBE).
Neutral-atom scattering factors, no anomalous dispersion.

Atomic structure:
Unit cell a=5.474 b=8.576 c=9.059 alpha=90.00 beta=90.00 gamma=90.00
Space group Imm2 (No. 44)
Inequivalent atoms, fractional coordinates:
Cs  0.000  0.000  0.000 x2
Ba  0.000  0.500  0.910 x2
Hg  0.000  0.186  0.611 x4
Hg  0.000  0.304  0.280 x4

Most intense lines, 10° ≤ 2θ ≤ 80°, by angle:
2θ 27.60, d 3.232, rel. 54.3, (1 1 2)
2θ 28.21, d 3.163, rel. 100.0, (1 2 1)
2θ 28.67, d 3.114, rel. 41.1, (0 2 2)
2θ 32.72, d 2.737, rel. 63.8, (2 0 0)
2θ 32.85, d 2.726, rel. 53.1, (0 3 1)
2θ 33.90, d 2.644, rel. 97.1, (1 0 3)
2θ 47.05, d 1.932, rel. 39.6, (2 3 1)
2θ 54.33, d 1.689, rel. 41.0, (1 3 4)